For Li2N, a structure optimized by DFT (PBE) gives the calculated powder XRD pattern in this record (λ = 1.5418 Å (Cu Kα)).

Largest 6 diffraction maxima, in order of rising 2θ, 2θ from 10° to 90°:
two_theta	Rel. int.	(hkl)
32.00	100.0	1 1 1
37.11	2.4	2 0 0
53.49	81.0	2 2 0
63.71	21.1	3 1 1
79.06	10.0	4 0 0
87.83	6.9	3 3 1

Structural model:
Cell lengths 4.8449, 4.8449, 4.8449 Å; angles 90.00, 90.00, 90.00 degrees
Space group Fm-3m (No. 225)
Symmetry-distinct sites (fractional):
Li: 0.2500 0.2500 0.2500 [8 per cell]
N: 0.0000 0.0000 0.0000 [4 per cell]